Record 1
This entry pairs a crystal structure of Sm6ZnIn3 with its theoretical powder diffractogram. Radiation: λ = 1.5418 Å (Cu Kα). Structure: a cell relaxed with GGA-PBE.
Intensities are scaled so that the largest is 100.

Structure:
```
data_Sm6ZnIn3
_symmetry_space_group_name_H-M 'P 1'
_symmetry_Int_Tables_number 1
_cell_length_a 9.2925
_cell_length_b 11.9174
_cell_length_c 5.3522
_cell_angle_alpha 90.00
_cell_angle_beta 90.00
_cell_angle_gamma 90.00
loop_
_symmetry_equiv_pos_as_xyz
'x,y,z'
loop_
_atom_site_label
_atom_site_fract_x
_atom_site_fract_y
_atom_site_fract_z
_atom_site_occupancy
Sm1 0.0024 0.2433 0.0000 1
Sm2 0.1599 0.0834 0.5000 1
Sm3 0.1744 0.4168 0.5000 1
Sm4 0.3256 0.9168 0.0000 1
Sm5 0.3401 0.5834 0.0000 1
Sm6 0.4976 0.7433 0.5000 1
Sm7 0.5024 0.2567 0.5000 1
Sm8 0.6599 0.4166 0.0000 1
Sm9 0.6744 0.0832 0.0000 1
Sm10 0.8256 0.5832 0.5000 1
Sm11 0.8401 0.9166 0.5000 1
Sm12 0.9976 0.7567 0.0000 1
Zn1 0.0000 0.0000 0.0000 1
Zn2 0.5000 0.5000 0.5000 1
In1 0.0000 0.5000 0.0000 1
In2 0.1647 0.7462 0.5000 1
In3 0.3353 0.2462 0.0000 1
In4 0.5000 0.0000 0.5000 1
In5 0.6647 0.7538 0.0000 1
In6 0.8353 0.2538 0.5000 1
```

Largest 6 diffraction maxima, by intensity, 2θ from 10° to 90°:
33.4 deg, rel. 100
29.6 deg, rel. 83
45.3 deg, rel. 25
57.8 deg, rel. 21
35.8 deg, rel. 17
57.4 deg, rel. 16

***

Record 2
This entry pairs a crystal structure of LaDy4Er8 with its theoretical powder diffractogram. Radiation: λ = 1.5418 Å (Cu Kα). Structure: a cell relaxed with GGA-PBE.
Intensities are scaled so that the largest is 100.

Structure:
```
data_LaDy4Er8
_symmetry_space_group_name_H-M 'P 1'
_symmetry_Int_Tables_number 1
_cell_length_a 9.8871
_cell_length_b 9.8871
_cell_length_c 9.8871
_cell_angle_alpha 43.11
_cell_angle_beta 43.11
_cell_angle_gamma 43.11
loop_
_symmetry_equiv_pos_as_xyz
'x,y,z'
loop_
_atom_site_label
_atom_site_fract_x
_atom_site_fract_y
_atom_site_fract_z
_atom_site_occupancy
La1 0.0000 0.0000 0.0000 1
Dy1 0.0000 0.0000 0.5000 1
Dy2 0.0000 0.5000 0.0000 1
Dy3 0.5000 0.0000 0.0000 1
Dy4 0.5000 0.5000 0.5000 1
Er1 0.2501 0.2501 0.6939 1
Er2 0.2501 0.6939 0.2501 1
Er3 0.2809 0.2809 0.2809 1
Er4 0.3061 0.7499 0.7499 1
Er5 0.6939 0.2501 0.2501 1
Er6 0.7191 0.7191 0.7191 1
Er7 0.7499 0.3061 0.7499 1
Er8 0.7499 0.7499 0.3061 1
```

Largest 6 diffraction maxima, by intensity, 2θ from 10° to 90°:
31.4 deg, rel. 100
33.0 deg, rel. 43
29.9 deg, rel. 32
50.2 deg, rel. 30
39.2 deg, rel. 29
59.6 deg, rel. 23

***

Record 3
This entry pairs a crystal structure of Cs2NbSiBr6 with its theoretical powder diffractogram. Radiation: λ = 1.5418 Å (Cu Kα). Structure: a cell relaxed with GGA-PBE.
Intensities are scaled so that the largest is 100.

Structure:
```
data_Cs2NbSiBr6
_symmetry_space_group_name_H-M 'P 1'
_symmetry_Int_Tables_number 1
_cell_length_a 7.8029
_cell_length_b 7.8029
_cell_length_c 7.8029
_cell_angle_alpha 60.00
_cell_angle_beta 60.00
_cell_angle_gamma 60.00
loop_
_symmetry_equiv_pos_as_xyz
'x,y,z'
loop_
_atom_site_label
_atom_site_fract_x
_atom_site_fract_y
_atom_site_fract_z
_atom_site_occupancy
Cs1 0.2500 0.2500 0.2500 1
Cs2 0.7500 0.7500 0.7500 1
Nb1 0.0000 0.0000 0.0000 1
Si1 0.5000 0.5000 0.5000 1
Br1 0.2491 0.2491 0.7509 1
Br2 0.2491 0.7509 0.2491 1
Br3 0.2491 0.7509 0.7509 1
Br4 0.7509 0.2491 0.2491 1
Br5 0.7509 0.2491 0.7509 1
Br6 0.7509 0.7509 0.2491 1
```

Largest 6 diffraction maxima, by intensity, 2θ from 10° to 90°:
28.0 deg, rel. 100
32.5 deg, rel. 99
46.6 deg, rel. 70
55.2 deg, rel. 43
77.3 deg, rel. 31
22.8 deg, rel. 31

***

Record 4
This entry pairs a crystal structure of Tb3Zn3Cu with its theoretical powder diffractogram. Radiation: λ = 1.5418 Å (Cu Kα). Structure: a cell relaxed with GGA-PBE.
Intensities are scaled so that the largest is 100.

Structure:
```
data_Tb3Zn3Cu
_symmetry_space_group_name_H-M 'P 1'
_symmetry_Int_Tables_number 1
_cell_length_a 3.5854
_cell_length_b 4.4498
_cell_length_c 19.1005
_cell_angle_alpha 90.00
_cell_angle_beta 90.00
_cell_angle_gamma 90.00
loop_
_symmetry_equiv_pos_as_xyz
'x,y,z'
loop_
_atom_site_label
_atom_site_fract_x
_atom_site_fract_y
_atom_site_fract_z
_atom_site_occupancy
Tb1 0.0000 0.0000 0.0000 1
Tb2 0.0000 0.0000 0.3820 1
Tb3 0.0000 0.5000 0.1971 1
Tb4 0.5000 0.0000 0.6971 1
Tb5 0.5000 0.5000 0.5000 1
Tb6 0.5000 0.5000 0.8820 1
Zn1 0.0000 0.0000 0.5549 1
Zn2 0.0000 0.0000 0.8309 1
Zn3 0.0000 0.5000 0.6289 1
Zn4 0.5000 0.0000 0.1289 1
Zn5 0.5000 0.5000 0.0549 1
Zn6 0.5000 0.5000 0.3309 1
Cu1 0.0000 0.5000 0.7590 1
Cu2 0.5000 0.0000 0.2590 1
```

Largest 6 diffraction maxima, by intensity, 2θ from 10° to 90°:
33.4 deg, rel. 100
34.3 deg, rel. 60
38.7 deg, rel. 46
40.5 deg, rel. 32
54.1 deg, rel. 32
24.4 deg, rel. 31

***

Record 5
This entry pairs a crystal structure of KRb6Br8 with its theoretical powder diffractogram. Radiation: λ = 1.5418 Å (Cu Kα). Structure: a cell relaxed with GGA-PBE.
Intensities are scaled so that the largest is 100.

Structure:
```
data_KRb6Br8
_symmetry_space_group_name_H-M 'P 1'
_symmetry_Int_Tables_number 1
_cell_length_a 10.2746
_cell_length_b 10.2746
_cell_length_c 7.0343
_cell_angle_alpha 90.00
_cell_angle_beta 90.00
_cell_angle_gamma 120.00
loop_
_symmetry_equiv_pos_as_xyz
'x,y,z'
loop_
_atom_site_label
_atom_site_fract_x
_atom_site_fract_y
_atom_site_fract_z
_atom_site_occupancy
K1 0.0000 0.0000 0.0000 1
Rb1 0.9996 0.3695 0.2795 1
Rb2 0.0004 0.6305 0.7205 1
Rb3 0.3695 0.3699 0.7205 1
Rb4 0.3699 0.0004 0.2795 1
Rb5 0.6301 0.9996 0.7205 1
Rb6 0.6305 0.6301 0.2795 1
Br1 0.9997 0.2900 0.7857 1
Br2 0.0003 0.7100 0.2143 1
Br3 0.2903 0.0003 0.7857 1
Br4 0.2900 0.2903 0.2143 1
Br5 0.3333 0.6667 0.4993 1
Br6 0.6667 0.3333 0.5007 1
Br7 0.7097 0.9997 0.2143 1
Br8 0.7100 0.7097 0.7857 1
```

Largest 6 diffraction maxima, by intensity, 2θ from 10° to 90°:
30.1 deg, rel. 100
30.8 deg, rel. 90
29.4 deg, rel. 52
43.6 deg, rel. 31
39.8 deg, rel. 27
17.3 deg, rel. 26

***

Record 6
This entry pairs a crystal structure of Ba5Ca4 with its theoretical powder diffractogram. Radiation: λ = 1.5418 Å (Cu Kα). Structure: a cell relaxed with GGA-PBE.
Intensities are scaled so that the largest is 100.

Structure:
```
data_Ba5Ca4
_symmetry_space_group_name_H-M 'P 1'
_symmetry_Int_Tables_number 1
_cell_length_a 10.2918
_cell_length_b 10.2918
_cell_length_c 10.2918
_cell_angle_alpha 153.08
_cell_angle_beta 93.20
_cell_angle_gamma 93.01
loop_
_symmetry_equiv_pos_as_xyz
'x,y,z'
loop_
_atom_site_label
_atom_site_fract_x
_atom_site_fract_y
_atom_site_fract_z
_atom_site_occupancy
Ba1 0.0000 0.0000 0.0000 1
Ba2 0.3242 0.3242 0.0000 1
Ba3 0.3249 0.0000 0.3249 1
Ba4 0.6751 0.0000 0.6751 1
Ba5 0.6758 0.6758 0.0000 1
Ca1 0.0003 0.3266 0.6737 1
Ca2 0.9997 0.6734 0.3263 1
Ca3 0.3472 0.6734 0.6737 1
Ca4 0.6528 0.3266 0.3263 1
```

Largest 6 diffraction maxima, by intensity, 2θ from 10° to 90°:
26.5 deg, rel. 100
26.7 deg, rel. 48
47.1 deg, rel. 38
46.7 deg, rel. 20
38.1 deg, rel. 18
54.6 deg, rel. 12

***

Record 7
This entry pairs a crystal structure of La2YIn with its theoretical powder diffractogram. Radiation: λ = 1.5418 Å (Cu Kα). Structure: a cell relaxed with GGA-PBE.
Intensities are scaled so that the largest is 100.

Structure:
```
data_La2YIn
_symmetry_space_group_name_H-M 'P 1'
_symmetry_Int_Tables_number 1
_cell_length_a 3.5696
_cell_length_b 5.9299
_cell_length_c 6.0204
_cell_angle_alpha 90.00
_cell_angle_beta 96.77
_cell_angle_gamma 90.00
loop_
_symmetry_equiv_pos_as_xyz
'x,y,z'
loop_
_atom_site_label
_atom_site_fract_x
_atom_site_fract_y
_atom_site_fract_z
_atom_site_occupancy
La1 0.2081 0.0000 0.2715 1
La2 0.7919 0.0000 0.7285 1
Y1 0.5000 0.5000 0.0000 1
In1 0.0000 0.5000 0.5000 1
```

Largest 6 diffraction maxima, by intensity, 2θ from 10° to 90°:
31.6 deg, rel. 100
33.6 deg, rel. 89
30.1 deg, rel. 62
30.8 deg, rel. 58
43.6 deg, rel. 44
54.5 deg, rel. 25

***

Record 8
This entry pairs a crystal structure of CaMg6Tl12 with its theoretical powder diffractogram. Radiation: λ = 1.5418 Å (Cu Kα). Structure: a cell relaxed with GGA-PBE.
Intensities are scaled so that the largest is 100.

Structure:
```
data_CaMg6Tl12
_symmetry_space_group_name_H-M 'P 1'
_symmetry_Int_Tables_number 1
_cell_length_a 8.9561
_cell_length_b 8.9561
_cell_length_c 8.9561
_cell_angle_alpha 111.27
_cell_angle_beta 111.27
_cell_angle_gamma 111.27
loop_
_symmetry_equiv_pos_as_xyz
'x,y,z'
loop_
_atom_site_label
_atom_site_fract_x
_atom_site_fract_y
_atom_site_fract_z
_atom_site_occupancy
Ca1 0.0000 0.0000 0.0000 1
Mg1 0.0479 0.3531 0.5639 1
Mg2 0.3531 0.5639 0.0479 1
Mg3 0.4361 0.9521 0.6469 1
Mg4 0.5639 0.0479 0.3531 1
Mg5 0.6469 0.4361 0.9521 1
Mg6 0.9521 0.6469 0.4361 1
Tl1 0.1076 0.7388 0.1775 1
Tl2 0.1775 0.1076 0.7388 1
Tl3 0.2067 0.4824 0.3250 1
Tl4 0.2612 0.8225 0.8924 1
Tl5 0.3250 0.2067 0.4824 1
Tl6 0.4824 0.3250 0.2067 1
Tl7 0.5176 0.6750 0.7933 1
Tl8 0.6750 0.7933 0.5176 1
Tl9 0.7388 0.1775 0.1076 1
Tl10 0.7933 0.5176 0.6750 1
Tl11 0.8225 0.8924 0.2612 1
Tl12 0.8924 0.2612 0.8225 1
```

Largest 6 diffraction maxima, by intensity, 2θ from 10° to 90°:
32.4 deg, rel. 100
37.8 deg, rel. 66
33.1 deg, rel. 32
64.9 deg, rel. 25
21.4 deg, rel. 24
54.1 deg, rel. 22

***

Record 9
This entry pairs a crystal structure of LaHo2Th3P6 with its theoretical powder diffractogram. Radiation: λ = 1.5418 Å (Cu Kα). Structure: a cell relaxed with GGA-PBE.
Intensities are scaled so that the largest is 100.

Structure:
```
data_LaHo2Th3P6
_symmetry_space_group_name_H-M 'P 1'
_symmetry_Int_Tables_number 1
_cell_length_a 7.1400
_cell_length_b 7.1400
_cell_length_c 7.0980
_cell_angle_alpha 99.68
_cell_angle_beta 99.68
_cell_angle_gamma 119.93
loop_
_symmetry_equiv_pos_as_xyz
'x,y,z'
loop_
_atom_site_label
_atom_site_fract_x
_atom_site_fract_y
_atom_site_fract_z
_atom_site_occupancy
La1 0.0000 0.0000 0.0000 1
Ho1 0.3328 0.6672 0.0000 1
Ho2 0.6672 0.3328 0.0000 1
Th1 0.1649 0.8351 0.5000 1
Th2 0.5000 0.5000 0.5000 1
Th3 0.8351 0.1649 0.5000 1
P1 0.0828 0.4247 0.2483 1
P2 0.2602 0.2602 0.7542 1
P3 0.4247 0.0828 0.2483 1
P4 0.5753 0.9172 0.7517 1
P5 0.7398 0.7398 0.2458 1
P6 0.9172 0.5753 0.7517 1
```

Largest 6 diffraction maxima, by intensity, 2θ from 10° to 90°:
30.7 deg, rel. 100
26.5 deg, rel. 74
43.9 deg, rel. 37
44.1 deg, rel. 37
52.1 deg, rel. 25
26.7 deg, rel. 24

***

Record 10
This entry pairs a crystal structure of La2CrAs4Ir3 with its theoretical powder diffractogram. Radiation: λ = 1.5418 Å (Cu Kα). Structure: a cell relaxed with GGA-PBE.
Intensities are scaled so that the largest is 100.

Structure:
```
data_La2CrAs4Ir3
_symmetry_space_group_name_H-M 'P 1'
_symmetry_Int_Tables_number 1
_cell_length_a 4.3368
_cell_length_b 4.3368
_cell_length_c 10.1690
_cell_angle_alpha 90.00
_cell_angle_beta 90.00
_cell_angle_gamma 90.00
loop_
_symmetry_equiv_pos_as_xyz
'x,y,z'
loop_
_atom_site_label
_atom_site_fract_x
_atom_site_fract_y
_atom_site_fract_z
_atom_site_occupancy
La1 0.0000 0.5000 0.2429 1
La2 0.5000 0.0000 0.7571 1
Cr1 0.0000 0.0000 0.5000 1
As1 0.0000 0.0000 0.0000 1
As2 0.0000 0.5000 0.6350 1
As3 0.5000 0.0000 0.3650 1
As4 0.5000 0.5000 0.0000 1
Ir1 0.0000 0.5000 0.8812 1
Ir2 0.5000 0.0000 0.1188 1
Ir3 0.5000 0.5000 0.5000 1
```

Largest 6 diffraction maxima, by intensity, 2θ from 10° to 90°:
33.6 deg, rel. 100
34.1 deg, rel. 93
41.7 deg, rel. 89
54.5 deg, rel. 51
46.4 deg, rel. 39
60.4 deg, rel. 30

***

Record 11
This entry pairs a crystal structure of Pr2Mg2In with its theoretical powder diffractogram. Radiation: λ = 1.5418 Å (Cu Kα). Structure: a cell relaxed with GGA-PBE.
Intensities are scaled so that the largest is 100.

Structure:
```
data_Pr2Mg2In
_symmetry_space_group_name_H-M 'P 1'
_symmetry_Int_Tables_number 1
_cell_length_a 6.3241
_cell_length_b 6.3241
_cell_length_c 9.8799
_cell_angle_alpha 105.97
_cell_angle_beta 105.97
_cell_angle_gamma 48.72
loop_
_symmetry_equiv_pos_as_xyz
'x,y,z'
loop_
_atom_site_label
_atom_site_fract_x
_atom_site_fract_y
_atom_site_fract_z
_atom_site_occupancy
Pr1 0.0535 0.0535 0.3507 1
Pr2 0.1723 0.1723 0.0629 1
Pr3 0.8277 0.8277 0.9371 1
Pr4 0.9465 0.9465 0.6493 1
Mg1 0.3652 0.3652 0.4167 1
Mg2 0.4860 0.4860 0.1417 1
Mg3 0.5140 0.5140 0.8583 1
Mg4 0.6348 0.6348 0.5833 1
In1 0.2533 0.2533 0.7013 1
In2 0.7467 0.7467 0.2987 1
```

Largest 6 diffraction maxima, by intensity, 2θ from 10° to 90°:
33.5 deg, rel. 100
32.1 deg, rel. 97
31.2 deg, rel. 65
18.8 deg, rel. 56
34.4 deg, rel. 53
32.4 deg, rel. 47

***

Record 12
This entry pairs a crystal structure of Zn10CdIn with its theoretical powder diffractogram. Radiation: λ = 1.5418 Å (Cu Kα). Structure: a cell relaxed with GGA-PBE.
Intensities are scaled so that the largest is 100.

Structure:
```
data_Zn10CdIn
_symmetry_space_group_name_H-M 'P 1'
_symmetry_Int_Tables_number 1
_cell_length_a 4.2884
_cell_length_b 5.5846
_cell_length_c 8.8736
_cell_angle_alpha 90.00
_cell_angle_beta 90.00
_cell_angle_gamma 90.00
loop_
_symmetry_equiv_pos_as_xyz
'x,y,z'
loop_
_atom_site_label
_atom_site_fract_x
_atom_site_fract_y
_atom_site_fract_z
_atom_site_occupancy
Zn1 0.0000 0.0000 0.0000 1
Zn2 0.0000 0.2459 0.2553 1
Zn3 0.0000 0.2459 0.7447 1
Zn4 0.0000 0.5000 0.5000 1
Zn5 0.0000 0.7541 0.2553 1
Zn6 0.0000 0.7541 0.7447 1
Zn7 0.5000 0.0000 0.1718 1
Zn8 0.5000 0.0000 0.8282 1
Zn9 0.5000 0.5000 0.3347 1
Zn10 0.5000 0.5000 0.6653 1
Cd1 0.5000 0.0000 0.5000 1
In1 0.5000 0.5000 0.0000 1
```

Largest 6 diffraction maxima, by intensity, 2θ from 10° to 90°:
40.4 deg, rel. 100
38.5 deg, rel. 58
42.1 deg, rel. 45
38.1 deg, rel. 35
28.1 deg, rel. 34
62.8 deg, rel. 27

***

Number 5 is which compound? KRb6Br8